Starting from a PBE-relaxed structure, the XRD peak list of CdBPt3 was simulated for Cu Kα.
Intensities are scaled so that the largest is 100.

Crystal structure
```
data_CdBPt3
_chemical_formula_sum 'Cd2 B2 Pt6'
_space_group_name_H-M_alt 'P 1'
_space_group_IT_number 1
_space_group_name_Hall 'P 1'
_cell_length_a 5.732
_cell_length_b 5.732
_cell_length_c 5.368
_cell_angle_alpha 90.00
_cell_angle_beta 90.00
_cell_angle_gamma 120.00
loop_
_atom_site_label
_atom_site_type_symbol
_atom_site_fract_x
_atom_site_fract_y
_atom_site_fract_z
Cd1 Cd 0.333 0.667 0.250
Cd2 Cd 0.667 0.333 0.750
B1 B 0.000 0.000 0.000
B2 B 0.000 0.000 0.500
Pt1 Pt 0.171 0.341 0.750
Pt2 Pt 0.171 0.829 0.750
Pt3 Pt 0.341 0.171 0.250
Pt4 Pt 0.659 0.829 0.750
Pt5 Pt 0.829 0.171 0.250
Pt6 Pt 0.829 0.659 0.250
```

Largest 12 diffraction maxima, in order of rising 2θ, 2θ = 10–80°:
- 24.42°, rel. 6, hkl 1 0 1
- 33.38°, rel. 36, hkl 0 0 2
- 36.19°, rel. 21, hkl 2 0 0
- 40.02°, rel. 100, hkl 2 0 1
- 46.35°, rel. 1, hkl 1 1 2
- 50.05°, rel. 18, hkl 2 0 2
- 64.16°, rel. 25, hkl 2 0 3
- 65.09°, rel. 16, hkl 2 2 0
- 70.12°, rel. 4, hkl 0 0 4
- 75.15°, rel. 21, hkl 2 2 2
- 76.80°, rel. 2, hkl 4 0 0
- 79.22°, rel. 14, hkl 4 0 1